Entry 1:
The following is a computed powder diffractogram of Cr3Ge2N. It was derived from a cell relaxed with PBE, using CuKα.
Intensities are scaled so that the largest is 1000.

Most intense lines, 10° ≤ 2θ ≤ 90°, by angle:
d/Å, two_theta, Rel. int., hkl
2.750, 32.56, 171, 0 2 1
2.581, 34.75, 1000, 3 1 1
2.531, 35.47, 177, 0 0 2
2.417, 37.21, 340, 2 2 1
2.299, 39.19, 409, 1 1 2
2.135, 42.34, 329, 1 3 0
2.003, 45.28, 269, 0 2 2
1.935, 46.97, 356, 3 1 2
1.834, 49.72, 212, 3 3 0
1.470, 63.24, 161, 3 1 3

Cell and atoms:
a b c (Å): 10.129 6.551 5.060
angles (deg): 90.00 90.00 90.00
Space group Cmcm (No. 63)
Asymmetric unit:
Cr (0.000, 0.133, 0.250) x4
Cr (0.134, 0.500, 0.000) x8
Ge (0.169, 0.165, 0.750) x8
N (0.000, 0.426, 0.250) x4

Entry 2:
The following is a computed powder diffractogram of Cr3GeN. It was derived from a cell relaxed with PBE, using CuKα.
Intensities are scaled so that the largest is 1000.

Most intense lines, 10° ≤ 2θ ≤ 90°, by angle:
d/Å, two_theta, Rel. int., hkl
2.749, 32.58, 114, 1 1 1
2.381, 37.79, 121, 2 1 0
2.220, 40.64, 1000, 2 0 1
2.049, 44.20, 183, 2 1 1
2.012, 45.07, 184, 0 0 2
1.882, 48.36, 452, 2 2 0
1.374, 68.24, 150, 2 2 2
1.331, 70.79, 73, 4 0 0
1.190, 80.73, 114, 4 2 0
1.142, 84.96, 115, 4 2 1

Cell and atoms:
a b c (Å): 5.324 5.324 4.023
angles (deg): 90.00 90.00 90.00
Space group P-42_1m (No. 113)
Asymmetric unit:
Cr (0.000, 0.000, 0.000) x2
Cr (0.201, 0.299, 0.570) x4
Ge (0.000, 0.500, 0.056) x2
N (0.000, 0.000, 0.500) x2

Copy entry 2 word for word.
The following is a computed powder diffractogram of Cr3GeN. It was derived from a cell relaxed with PBE, using CuKα.
Intensities are scaled so that the largest is 1000.

Most intense lines, 10° ≤ 2θ ≤ 90°, by angle:
d/Å, two_theta, Rel. int., hkl
2.749, 32.58, 114, 1 1 1
2.381, 37.79, 121, 2 1 0
2.220, 40.64, 1000, 2 0 1
2.049, 44.20, 183, 2 1 1
2.012, 45.07, 184, 0 0 2
1.882, 48.36, 452, 2 2 0
1.374, 68.24, 150, 2 2 2
1.331, 70.79, 73, 4 0 0
1.190, 80.73, 114, 4 2 0
1.142, 84.96, 115, 4 2 1

Cell and atoms:
a b c (Å): 5.324 5.324 4.023
angles (deg): 90.00 90.00 90.00
Space group P-42_1m (No. 113)
Asymmetric unit:
Cr (0.000, 0.000, 0.000) x2
Cr (0.201, 0.299, 0.570) x4
Ge (0.000, 0.500, 0.056) x2
N (0.000, 0.000, 0.500) x2

Q: What is the formula in the second record?
A: Cr3GeN